This entry pairs a crystal structure of Nd6Dy3In with its theoretical powder diffraction line list. Radiation: Cu Kα X-rays. Structure: a structure optimized by DFT (GGA-PBE).
Intensities are scaled so that the largest is 100.

Most intense lines, 2θ from 5° to 70°, low angle first:
index, Position (°2θ), I/Imax
2 1 1, 30.0, 47
4 0 -3, 30.7, 74
0 0 5, 31.3, 100
4 0 2, 32.8, 81
2 1 -4, 36.6, 27
4 2 -3, 61.0, 22

Crystal structure
```
data_Nd6Dy3In
_symmetry_space_group_name_H-M 'P 1 21/m 1'
_symmetry_Int_Tables_number 11
_cell_length_a 12.999
_cell_length_b 3.560
_cell_length_c 14.535
_cell_angle_alpha 90.00
_cell_angle_beta 100.68
_cell_angle_gamma 90.00
loop_
_symmetry_equiv_pos_as_xyz
'x,y,z'
'-x,-y,-z'
'-x,y+1/2,-z'
'x,-y+1/2,z'
loop_
_atom_site_label
_atom_site_type_symbol
_atom_site_fract_x
_atom_site_fract_y
_atom_site_fract_z
Nd1 Nd 0.010 0.250 0.309
Nd2 Nd 0.158 0.250 0.885
Nd3 Nd 0.254 0.750 0.303
Nd4 Nd 0.268 0.750 0.714
Nd5 Nd 0.312 0.750 0.076
Nd6 Nd 0.389 0.250 0.537
Dy1 Dy 0.080 0.250 0.097
Dy2 Dy 0.130 0.750 0.501
Dy3 Dy 0.428 0.250 0.893
In1 In 0.469 0.250 0.270
```

This entry pairs a crystal structure of ErP2Pt8 with its theoretical powder diffraction line list. Radiation: Cu Kα X-rays. Structure: a structure optimized by DFT (GGA-PBE).
Intensities are scaled so that the largest is 100.

Most intense lines, 2θ from 5° to 70°, low angle first:
index, Position (°2θ), I/Imax
0 0 4, 24.7, 53
2 0 0, 32.8, 68
0 0 6, 37.4, 26
2 0 4, 41.5, 100
2 2 0, 47.1, 46
2 0 6, 50.6, 32

Crystal structure
```
data_ErP2Pt8
_symmetry_space_group_name_H-M 'I 4/m m m'
_symmetry_Int_Tables_number 139
_symmetry_space_group_name_Hall '-I 4 2'
_cell_length_a 5.461
_cell_length_b 5.461
_cell_length_c 14.434
_cell_angle_alpha 90.00
_cell_angle_beta 90.00
_cell_angle_gamma 90.00
loop_
_atom_site_label
_atom_site_type_symbol
_atom_site_fract_x
_atom_site_fract_y
_atom_site_fract_z
Er1 Er 0.000 0.000 0.000
P1 P 0.000 0.500 0.250
Pt1 Pt 0.246 0.246 0.353
```

This entry pairs a crystal structure of Ag3IBr6 with its theoretical powder diffraction line list. Radiation: Cu Kα X-rays. Structure: a structure optimized by DFT (GGA-PBE).
Intensities are scaled so that the largest is 100.

Most intense lines, 2θ from 5° to 70°, low angle first:
index, Position (°2θ), I/Imax
1 0 -1, 10.9, 31
0 2 0, 22.2, 100
1 0 -4, 31.8, 38
3 0 0, 32.3, 55
1 2 -4, 39.2, 32
3 2 0, 39.6, 36

Crystal structure
```
data_Ag3IBr6
_symmetry_space_group_name_H-M 'P 1 21 1'
_symmetry_Int_Tables_number 4
_cell_length_a 8.930
_cell_length_b 8.006
_cell_length_c 11.263
_cell_angle_alpha 90.00
_cell_angle_beta 111.51
_cell_angle_gamma 90.00
loop_
_symmetry_equiv_pos_as_xyz
'x,y,z'
'-x,y+1/2,-z'
loop_
_atom_site_label
_atom_site_type_symbol
_atom_site_fract_x
_atom_site_fract_y
_atom_site_fract_z
Ag1 Ag 0.002 0.000 0.399
Ag2 Ag 0.326 0.135 0.720
Ag3 Ag 0.355 0.574 0.942
I1 I 0.309 0.080 0.221
Br1 Br 0.019 0.156 0.617
Br2 Br 0.026 0.586 0.854
Br3 Br 0.302 0.100 0.973
Br4 Br 0.335 0.552 0.707
Br5 Br 0.342 0.054 0.472
Br6 Br 0.372 0.586 0.173
```